1.
Structure and simulated powder XRD pattern of ErCo3Si2 (DFT lattice parameters and positions (PBE); Cu Ka).
Neutral-atom scattering factors, no anomalous dispersion.

Peak list (8 most intense, 10 to 90 degrees two-theta, low angle first)
h k l  two_theta  d (Å)  intensity
0 1 1  19.70  4.507  22
2 1 1  32.55  2.751  100
0 3 1  34.47  2.602  26
0 2 2  39.98  2.255  49
0 4 0  40.08  2.250  26
2 3 1  43.46  2.082  88
2 4 2  60.51  1.530  20
4 2 2  68.14  1.376  25

```
data_ErCo3Si2
_cell_length_a 6.945
_cell_length_b 8.999
_cell_length_c 5.213
_cell_angle_alpha 90.00
_cell_angle_beta 90.00
_cell_angle_gamma 90.00
_space_group_name_H-M_alt 'I m m a'
_space_group_IT_number 74
_space_group_name_Hall '-I 2b 2'
loop_
_atom_site_label
_atom_site_type_symbol
_atom_site_fract_x
_atom_site_fract_y
_atom_site_fract_z
Er1 Er 0.000 0.250 0.223
Co1 Co 0.227 0.000 0.000
Co2 Co 0.250 0.250 0.750
Si1 Si 0.000 0.082 0.711
```


2.
Structure and simulated powder XRD pattern of Er3CoSi3 (DFT lattice parameters and positions (PBE); Cu Ka).
Neutral-atom scattering factors, no anomalous dispersion.

Peak list (8 most intense, 10 to 90 degrees two-theta, low angle first)
h k l  two_theta  d (Å)  intensity
1 1 0  23.33  3.812  57
2 0 2  27.02  3.301  26
2 0 -4  27.89  3.199  43
3 1 -1  33.81  2.651  47
1 1 3  34.03  2.635  100
4 0 -2  34.49  2.601  87
3 1 2  41.87  2.157  28
0 2 0  43.65  2.074  38

```
data_Er3CoSi3
_cell_length_a 10.400
_cell_length_b 4.147
_cell_length_c 13.376
_cell_angle_alpha 90.00
_cell_angle_beta 111.03
_cell_angle_gamma 90.00
_space_group_name_H-M_alt 'C 1 2/m 1'
_space_group_IT_number 12
loop_
_space_group_symop_operation_xyz
'x,y,z'
'-x,-y,-z'
'-x,y,-z'
'x,-y,z'
'x+1/2,y+1/2,z'
'-x+1/2,-y+1/2,-z'
'-x+1/2,y+1/2,-z'
'x+1/2,-y+1/2,z'
loop_
_atom_site_label
_atom_site_type_symbol
_atom_site_fract_x
_atom_site_fract_y
_atom_site_fract_z
Er1 Er 0.025 0.000 0.379
Er2 Er 0.101 0.000 0.920
Er3 Er 0.247 0.000 0.228
Co1 Co 0.247 0.500 0.417
Si1 Si 0.052 0.500 0.241
Si2 Si 0.116 0.500 0.076
Si3 Si 0.139 0.500 0.544
```


3.
Structure and simulated powder XRD pattern of Er2CoSi2 (DFT lattice parameters and positions (PBE); Cu Ka).
Neutral-atom scattering factors, no anomalous dispersion.

Peak list (8 most intense, 10 to 90 degrees two-theta, low angle first)
h k l  two_theta  d (Å)  intensity
1 1 0  23.78  3.742  59
2 0 -3  27.46  3.248  41
3 1 -1  34.31  2.614  49
1 1 2  34.66  2.588  100
4 0 -2  34.96  2.566  44
1 1 -3  35.22  2.548  53
3 1 -3  38.02  2.367  40
0 2 0  44.02  2.057  39

```
data_Er2CoSi2
_cell_length_a 10.278
_cell_length_b 4.114
_cell_length_c 9.904
_cell_angle_alpha 90.00
_cell_angle_beta 118.86
_cell_angle_gamma 90.00
_space_group_name_H-M_alt 'C 1 2/m 1'
_space_group_IT_number 12
loop_
_space_group_symop_operation_xyz
'x,y,z'
'-x,-y,-z'
'-x,y,-z'
'x,-y,z'
'x+1/2,y+1/2,z'
'-x+1/2,-y+1/2,-z'
'-x+1/2,y+1/2,-z'
'x+1/2,-y+1/2,z'
loop_
_atom_site_label
_atom_site_type_symbol
_atom_site_fract_x
_atom_site_fract_y
_atom_site_fract_z
Er1 Er 0.002 0.000 0.329
Er2 Er 0.187 0.000 0.109
Co1 Co 0.226 0.500 0.373
Si1 Si 0.008 0.500 0.876
Si2 Si 0.149 0.500 0.566
```


Please write out number 1 again, unchanged.
Structure and simulated powder XRD pattern of ErCo3Si2 (DFT lattice parameters and positions (PBE); Cu Ka).
Neutral-atom scattering factors, no anomalous dispersion.

Peak list (8 most intense, 10 to 90 degrees two-theta, low angle first)
h k l  two_theta  d (Å)  intensity
0 1 1  19.70  4.507  22
2 1 1  32.55  2.751  100
0 3 1  34.47  2.602  26
0 2 2  39.98  2.255  49
0 4 0  40.08  2.250  26
2 3 1  43.46  2.082  88
2 4 2  60.51  1.530  20
4 2 2  68.14  1.376  25

```
data_ErCo3Si2
_cell_length_a 6.945
_cell_length_b 8.999
_cell_length_c 5.213
_cell_angle_alpha 90.00
_cell_angle_beta 90.00
_cell_angle_gamma 90.00
_space_group_name_H-M_alt 'I m m a'
_space_group_IT_number 74
_space_group_name_Hall '-I 2b 2'
loop_
_atom_site_label
_atom_site_type_symbol
_atom_site_fract_x
_atom_site_fract_y
_atom_site_fract_z
Er1 Er 0.000 0.250 0.223
Co1 Co 0.227 0.000 0.000
Co2 Co 0.250 0.250 0.750
Si1 Si 0.000 0.082 0.711
```